[1]
Starting from a structure optimized by DFT (GGA-PBE), the powder diffractogram of PtO2 was calculated for Cu Kα (weighted mean of Kα1 and Kα2).

Most intense lines, 10 to 80 degrees two-theta, in order of rising 2θ:
2θ = 18.77°, rel. 100; 2θ = 32.68°, rel. 57; 2θ = 37.95°, rel. 89; 2θ = 38.07°, rel. 11; 2θ = 51.02°, rel. 45; 2θ = 58.33°, rel. 17; 2θ = 61.84°, rel. 25; 2θ = 68.48°, rel. 7; 2θ = 68.71°, rel. 18; 2θ = 71.76°, rel. 26

abc: 3.164 3.164 4.728
angles: 90.00 90.00 120.00
Positions (direct):
Pt: 0.000 0.000 0.000
O: 0.333 0.667 0.800
O: 0.667 0.333 0.200

---

[2]
Starting from a structure optimized by DFT (GGA-PBE), the powder diffractogram of PtO6 was calculated for Cu Kα (weighted mean of Kα1 and Kα2).

Most intense lines, 10 to 80 degrees two-theta, in order of rising 2θ:
2θ = 20.27°, rel. 100; 2θ = 20.40°, rel. 50; 2θ = 24.13°, rel. 22; 2θ = 24.36°, rel. 45; 2θ = 31.80°, rel. 15; 2θ = 32.89°, rel. 22; 2θ = 40.25°, rel. 17; 2θ = 40.46°, rel. 18; 2θ = 40.67°, rel. 17; 2θ = 41.21°, rel. 20

abc: 5.842 5.842 5.826
angles: 102.43 102.43 78.28
Positions (direct):
Pt: 0.000 0.500 0.000
Pt: 0.500 0.000 0.500
O: 0.140 0.340 0.291
O: 0.157 0.795 0.129
O: 0.205 0.843 0.371
O: 0.281 0.380 0.825
O: 0.340 0.140 0.791
O: 0.380 0.281 0.325
O: 0.620 0.719 0.675
O: 0.660 0.860 0.209
O: 0.719 0.620 0.175
O: 0.795 0.157 0.629
O: 0.843 0.205 0.871
O: 0.860 0.660 0.709

---

[3]
Starting from a structure optimized by DFT (GGA-PBE), the powder diffractogram of PtO6 was calculated for Cu Kα (weighted mean of Kα1 and Kα2).

Most intense lines, 10 to 80 degrees two-theta, in order of rising 2θ:
2θ = 20.40°, rel. 100; 2θ = 24.18°, rel. 46; 2θ = 31.84°, rel. 14; 2θ = 33.19°, rel. 15; 2θ = 40.38°, rel. 36; 2θ = 41.48°, rel. 20; 2θ = 48.59°, rel. 21; 2θ = 52.33°, rel. 15; 2θ = 54.11°, rel. 10; 2θ = 64.18°, rel. 13

abc: 5.818 5.818 5.818
angles: 78.49 78.49 78.49
Positions (direct):
Pt: 0.000 0.000 0.000
Pt: 0.500 0.500 0.500
O: 0.130 0.829 0.715
O: 0.171 0.285 0.870
O: 0.215 0.329 0.630
O: 0.285 0.870 0.171
O: 0.329 0.630 0.215
O: 0.370 0.785 0.671
O: 0.630 0.215 0.329
O: 0.671 0.370 0.785
O: 0.715 0.130 0.829
O: 0.785 0.671 0.370
O: 0.829 0.715 0.130
O: 0.870 0.171 0.285

---

[4]
Starting from a structure optimized by DFT (GGA-PBE), the powder diffractogram of Pt2Rh2O5 was calculated for Cu Kα (weighted mean of Kα1 and Kα2).

Most intense lines, 10 to 80 degrees two-theta, in order of rising 2θ:
2θ = 19.58°, rel. 7; 2θ = 25.35°, rel. 6; 2θ = 32.23°, rel. 100; 2θ = 36.15°, rel. 33; 2θ = 39.77°, rel. 12; 2θ = 41.44°, rel. 7; 2θ = 52.05°, rel. 18; 2θ = 54.82°, rel. 28; 2θ = 62.56°, rel. 30; 2θ = 67.46°, rel. 22

abc: 3.514 3.514 9.066
angles: 90.00 90.00 90.00
Positions (direct):
Pt: 0.000 0.000 0.000
Pt: 0.000 0.000 0.500
Rh: 0.500 0.500 0.233
Rh: 0.500 0.500 0.767
O: 0.000 0.500 0.354
O: 0.000 0.500 0.646
O: 0.500 0.000 0.354
O: 0.500 0.000 0.646
O: 0.500 0.500 0.000

---

[5]
Starting from a structure optimized by DFT (GGA-PBE), the powder diffractogram of Sb2Pt2O7 was calculated for Cu Kα (weighted mean of Kα1 and Kα2).

Most intense lines, 10 to 80 degrees two-theta, in order of rising 2θ:
2θ = 14.74°, rel. 7; 2θ = 28.45°, rel. 6; 2θ = 29.74°, rel. 100; 2θ = 34.48°, rel. 36; 2θ = 45.28°, rel. 2; 2θ = 49.55°, rel. 46; 2θ = 58.87°, rel. 44; 2θ = 61.76°, rel. 10; 2θ = 69.37°, rel. 2; 2θ = 72.69°, rel. 7

abc: 7.358 7.358 7.358
angles: 60.00 60.00 60.00
Positions (direct):
Sb: 0.000 0.000 0.000
Sb: 0.000 0.000 0.500
Sb: 0.000 0.500 0.000
Sb: 0.500 0.000 0.000
Pt: 0.000 0.500 0.500
Pt: 0.500 0.000 0.500
Pt: 0.500 0.500 0.000
Pt: 0.500 0.500 0.500
O: 0.125 0.125 0.125
O: 0.164 0.164 0.586
O: 0.164 0.586 0.164
O: 0.164 0.586 0.586
O: 0.414 0.414 0.836
O: 0.414 0.836 0.414
O: 0.414 0.836 0.836
O: 0.586 0.164 0.164
O: 0.586 0.164 0.586
O: 0.586 0.586 0.164
O: 0.836 0.414 0.414
O: 0.836 0.414 0.836
O: 0.836 0.836 0.414
O: 0.875 0.875 0.875

---

[6]
Starting from a structure optimized by DFT (GGA-PBE), the powder diffractogram of Sr8Si2PtO14 was calculated for Cu Kα (weighted mean of Kα1 and Kα2).

Most intense lines, 10 to 80 degrees two-theta, in order of rising 2θ:
2θ = 13.00°, rel. 36; 2θ = 13.28°, rel. 30; 2θ = 28.29°, rel. 79; 2θ = 29.30°, rel. 96; 2θ = 30.84°, rel. 100; 2θ = 32.38°, rel. 71; 2θ = 33.07°, rel. 32; 2θ = 36.94°, rel. 32; 2θ = 39.07°, rel. 30; 2θ = 41.76°, rel. 32

abc: 9.986 9.986 7.276
angles: 109.72 109.72 33.76
Positions (direct):
Sr: 0.022 0.022 0.299
Sr: 0.191 0.182 0.789
Sr: 0.335 0.333 0.505
Sr: 0.427 0.388 0.043
Sr: 0.612 0.573 0.957
Sr: 0.667 0.665 0.495
Sr: 0.818 0.809 0.211
Sr: 0.978 0.978 0.701
Si: 0.193 0.150 0.206
Si: 0.850 0.807 0.794
Pt: 0.499 0.501 0.500
O: 0.065 0.110 0.040
O: 0.085 0.379 0.154
O: 0.099 0.509 0.799
O: 0.137 0.210 0.429
O: 0.180 0.660 0.360
O: 0.340 0.820 0.640
O: 0.457 0.467 0.741
O: 0.491 0.901 0.201
O: 0.533 0.543 0.259
O: 0.621 0.915 0.846
O: 0.659 0.180 0.358
O: 0.790 0.863 0.571
O: 0.820 0.341 0.642
O: 0.890 0.935 0.960

---

[7]
Starting from a structure optimized by DFT (GGA-PBE), the powder diffractogram of Sm2Pt2O7 was calculated for Cu Kα (weighted mean of Kα1 and Kα2).

Most intense lines, 10 to 80 degrees two-theta, in order of rising 2θ:
2θ = 14.70°, rel. 2; 2θ = 28.37°, rel. 2; 2θ = 29.66°, rel. 100; 2θ = 34.38°, rel. 37; 2θ = 45.15°, rel. 1; 2θ = 49.40°, rel. 46; 2θ = 58.69°, rel. 44; 2θ = 61.57°, rel. 11; 2θ = 69.15°, rel. 1; 2θ = 72.46°, rel. 7

abc: 7.379 7.379 7.379
angles: 60.00 60.00 60.00
Positions (direct):
Sm: 0.000 0.000 0.000
Sm: 0.000 0.000 0.500
Sm: 0.000 0.500 0.000
Sm: 0.500 0.000 0.000
Pt: 0.000 0.500 0.500
Pt: 0.500 0.000 0.500
Pt: 0.500 0.500 0.000
Pt: 0.500 0.500 0.500
O: 0.125 0.125 0.125
O: 0.163 0.163 0.587
O: 0.163 0.587 0.163
O: 0.163 0.587 0.587
O: 0.413 0.413 0.837
O: 0.413 0.837 0.413
O: 0.413 0.837 0.837
O: 0.587 0.163 0.163
O: 0.587 0.163 0.587
O: 0.587 0.587 0.163
O: 0.837 0.413 0.413
O: 0.837 0.413 0.837
O: 0.837 0.837 0.413
O: 0.875 0.875 0.875

---

[8]
Starting from a structure optimized by DFT (GGA-PBE), the powder diffractogram of SrPtO3 was calculated for Cu Kα (weighted mean of Kα1 and Kα2).

Most intense lines, 10 to 80 degrees two-theta, in order of rising 2θ:
2θ = 21.88°, rel. 25; 2θ = 31.13°, rel. 100; 2θ = 38.38°, rel. 2; 2θ = 44.61°, rel. 29; 2θ = 50.22°, rel. 11; 2θ = 55.40°, rel. 41; 2θ = 64.92°, rel. 18; 2θ = 69.40°, rel. 5; 2θ = 73.75°, rel. 18; 2θ = 78.01°, rel. 1

abc: 4.062 4.062 4.062
angles: 90.00 90.00 90.00
Positions (direct):
Sr: 0.000 0.000 0.000
Pt: 0.500 0.500 0.500
O: 0.000 0.500 0.500
O: 0.500 0.000 0.500
O: 0.500 0.500 0.000

---

[9]
Starting from a structure optimized by DFT (GGA-PBE), the powder diffractogram of Sr3ZnPtO6 was calculated for Cu Kα (weighted mean of Kα1 and Kα2).

Most intense lines, 10 to 80 degrees two-theta, in order of rising 2θ:
2θ = 18.29°, rel. 43; 2θ = 18.79°, rel. 40; 2θ = 29.83°, rel. 44; 2θ = 31.96°, rel. 100; 2θ = 38.11°, rel. 30; 2θ = 41.88°, rel. 18; 2θ = 42.58°, rel. 38; 2θ = 44.29°, rel. 26; 2θ = 56.97°, rel. 16; 2θ = 57.71°, rel. 25

abc: 6.772 6.772 6.772
angles: 91.47 91.47 91.47
Positions (direct):
Sr: 0.113 0.750 0.387
Sr: 0.250 0.613 0.887
Sr: 0.387 0.113 0.750
Sr: 0.613 0.887 0.250
Sr: 0.750 0.387 0.113
Sr: 0.887 0.250 0.613
Zn: 0.250 0.250 0.250
Zn: 0.750 0.750 0.750
Pt: 0.000 0.000 0.000
Pt: 0.500 0.500 0.500
O: 0.040 0.907 0.713
O: 0.093 0.287 0.960
O: 0.213 0.407 0.540
O: 0.287 0.960 0.093
O: 0.407 0.540 0.213
O: 0.460 0.787 0.593
O: 0.540 0.213 0.407
O: 0.593 0.460 0.787
O: 0.713 0.040 0.907
O: 0.787 0.593 0.460
O: 0.907 0.713 0.040
O: 0.960 0.093 0.287

---

[10]
Starting from a structure optimized by DFT (GGA-PBE), the powder diffractogram of Tb2Pt2O7 was calculated for Cu Kα (weighted mean of Kα1 and Kα2).

Most intense lines, 10 to 80 degrees two-theta, in order of rising 2θ:
2θ = 14.88°, rel. 1; 2θ = 28.70°, rel. 2; 2θ = 30.01°, rel. 100; 2θ = 34.79°, rel. 37; 2θ = 45.70°, rel. 1; 2θ = 50.02°, rel. 46; 2θ = 59.44°, rel. 44; 2θ = 62.37°, rel. 11; 2θ = 70.07°, rel. 1; 2θ = 73.44°, rel. 7

abc: 7.294 7.294 7.294
angles: 60.00 60.00 60.00
Positions (direct):
Tb: 0.000 0.000 0.000
Tb: 0.000 0.000 0.500
Tb: 0.000 0.500 0.000
Tb: 0.500 0.000 0.000
Pt: 0.000 0.500 0.500
Pt: 0.500 0.000 0.500
Pt: 0.500 0.500 0.000
Pt: 0.500 0.500 0.500
O: 0.125 0.125 0.125
O: 0.160 0.160 0.590
O: 0.160 0.590 0.160
O: 0.160 0.590 0.590
O: 0.410 0.410 0.840
O: 0.410 0.840 0.410
O: 0.410 0.840 0.840
O: 0.590 0.160 0.160
O: 0.590 0.160 0.590
O: 0.590 0.590 0.160
O: 0.840 0.410 0.410
O: 0.840 0.410 0.840
O: 0.840 0.840 0.410
O: 0.875 0.875 0.875

---

[11]
Starting from a structure optimized by DFT (GGA-PBE), the powder diffractogram of TlPt3O4 was calculated for Cu Kα (weighted mean of Kα1 and Kα2).

Most intense lines, 10 to 80 degrees two-theta, in order of rising 2θ:
2θ = 31.57°, rel. 100; 2θ = 36.61°, rel. 43; 2θ = 52.74°, rel. 41; 2θ = 62.78°, rel. 43; 2θ = 65.91°, rel. 11; 2θ = 77.83°, rel. 6

abc: 6.942 6.942 6.942
angles: 60.00 60.00 60.00
Positions (direct):
Tl: 0.000 0.000 0.000
Tl: 0.500 0.500 0.500
Pt: 0.000 0.000 0.500
Pt: 0.000 0.500 0.000
Pt: 0.000 0.500 0.500
Pt: 0.500 0.000 0.000
Pt: 0.500 0.000 0.500
Pt: 0.500 0.500 0.000
O: 0.142 0.142 0.142
O: 0.142 0.142 0.573
O: 0.142 0.573 0.142
O: 0.427 0.858 0.858
O: 0.573 0.142 0.142
O: 0.858 0.427 0.858
O: 0.858 0.858 0.427
O: 0.858 0.858 0.858

---

[12]
Starting from a structure optimized by DFT (GGA-PBE), the powder diffractogram of Tm2Pt2O7 was calculated for Cu Kα (weighted mean of Kα1 and Kα2).

Most intense lines, 10 to 80 degrees two-theta, in order of rising 2θ:
2θ = 15.04°, rel. 1; 2θ = 29.03°, rel. 1; 2θ = 30.35°, rel. 100; 2θ = 35.19°, rel. 37; 2θ = 50.62°, rel. 46; 2θ = 60.17°, rel. 44; 2θ = 63.15°, rel. 10; 2θ = 74.40°, rel. 7

abc: 7.213 7.213 7.213
angles: 60.00 60.00 60.00
Positions (direct):
Tm: 0.000 0.000 0.000
Tm: 0.000 0.000 0.500
Tm: 0.000 0.500 0.000
Tm: 0.500 0.000 0.000
Pt: 0.000 0.500 0.500
Pt: 0.500 0.000 0.500
Pt: 0.500 0.500 0.000
Pt: 0.500 0.500 0.500
O: 0.125 0.125 0.125
O: 0.156 0.156 0.594
O: 0.156 0.594 0.156
O: 0.156 0.594 0.594
O: 0.406 0.406 0.844
O: 0.406 0.844 0.406
O: 0.406 0.844 0.844
O: 0.594 0.156 0.156
O: 0.594 0.156 0.594
O: 0.594 0.594 0.156
O: 0.844 0.406 0.406
O: 0.844 0.406 0.844
O: 0.844 0.844 0.406
O: 0.875 0.875 0.875